For LiY2Os, the PBE geometry in OQMD gives the theoretical powder X-ray diffraction pattern in this record (λ = 1.5418 Å (Cu Kα)).
Kinematic intensities with the Lorentz-polarization factor, no thermal factor.

Unit cell a=4.9015 b=14.7012 c=6.9291 alpha=90.00 beta=90.00 gamma=90.00
Space group Pnnm (No. 58)
Symmetry-distinct sites (fractional):
Li  0.0000  0.0000  0.0000 [2 per cell]
Li  0.0011  0.3333  0.0000 [4 per cell]
Y  0.0000  0.5000  0.2501 [4 per cell]
Y  0.0007  0.1667  0.2501 [8 per cell]
Os  0.0000  0.0000  0.5000 [2 per cell]
Os  0.0006  0.3333  0.5000 [4 per cell]

Top 6 peaks for 10° ≤ 2θ ≤ 90°, low angle first:
22.22°, intensity 560
36.68°, intensity 1000
43.30°, intensity 300
52.84°, intensity 174
66.04°, intensity 353
89.42°, intensity 161

---

For BaMgZn2Pt, the PBE geometry in OQMD gives the theoretical powder X-ray diffraction pattern in this record (λ = 1.5418 Å (Cu Kα)).
Kinematic intensities with the Lorentz-polarization factor, no thermal factor.

Unit cell a=4.5900 b=4.5900 c=11.1962 alpha=90.00 beta=90.00 gamma=90.00
Space group I4mm (No. 107)
Symmetry-distinct sites (fractional):
Ba  0.0000  0.0000  0.0000 [2 per cell]
Mg  0.0000  0.0000  0.6207 [2 per cell]
Zn  0.0000  0.5000  0.2706 [4 per cell]
Pt  0.0000  0.0000  0.3835 [2 per cell]

Top 6 peaks for 10° ≤ 2θ ≤ 90°, low angle first:
15.83°, intensity 527
30.88°, intensity 919
31.87°, intensity 1000
39.26°, intensity 675
42.62°, intensity 423
50.76°, intensity 460

---

For TlPPdO4, the PBE geometry in OQMD gives the theoretical powder X-ray diffraction pattern in this record (λ = 1.5418 Å (Cu Kα)).
Kinematic intensities with the Lorentz-polarization factor, no thermal factor.

Unit cell a=7.0005 b=7.0005 c=10.5718 alpha=90.00 beta=90.00 gamma=90.00
Space group I4/mcm (No. 140)
Symmetry-distinct sites (fractional):
Tl  0.0000  0.0000  0.2500 [4 per cell]
P  0.0000  0.5000  0.2500 [4 per cell]
Pd  0.0000  0.5000  0.0000 [4 per cell]
O  0.1231  0.3769  0.1572 [16 per cell]

Top 6 peaks for 10° ≤ 2θ ≤ 90°, low angle first:
24.64°, intensity 1000
25.45°, intensity 794
36.30°, intensity 309
42.88°, intensity 385
44.36°, intensity 520
50.52°, intensity 240

---

For PrGa5CuPd, the PBE geometry in OQMD gives the theoretical powder X-ray diffraction pattern in this record (λ = 1.5418 Å (Cu Kα)).
Kinematic intensities with the Lorentz-polarization factor, no thermal factor.

Unit cell a=4.0512 b=7.2061 c=9.9442 alpha=90.00 beta=90.00 gamma=90.00
Space group Imm2 (No. 44)
Symmetry-distinct sites (fractional):
Pr  0.0000  0.0000  0.0000 [2 per cell]
Ga  0.0000  0.1885  0.6505 [4 per cell]
Ga  0.0000  0.1949  0.3606 [4 per cell]
Ga  0.0000  0.5000  0.0136 [2 per cell]
Cu  0.0000  0.5000  0.2566 [2 per cell]
Pd  0.0000  0.5000  0.7640 [2 per cell]

Top 6 peaks for 10° ≤ 2θ ≤ 90°, low angle first:
31.06°, intensity 500
34.51°, intensity 1000
34.98°, intensity 830
44.27°, intensity 650
44.74°, intensity 443
64.76°, intensity 404

---

For Ba5Er8Zn4O21, the PBE geometry in OQMD gives the theoretical powder X-ray diffraction pattern in this record (λ = 1.5418 Å (Cu Kα)).
Kinematic intensities with the Lorentz-polarization factor, no thermal factor.

Unit cell a=13.6733 b=13.6733 c=5.6734 alpha=90.00 beta=90.00 gamma=90.00
Space group I4/m (No. 87)
Symmetry-distinct sites (fractional):
Ba  0.0000  0.0000  0.0000 [2 per cell]
Ba  0.0361  0.6395  0.5000 [8 per cell]
Er  0.0881  0.1427  0.5000 [8 per cell]
Er  0.1680  0.7525  0.0000 [8 per cell]
Zn  0.0406  0.2501  0.0000 [8 per cell]
O  0.0000  0.0000  0.5000 [2 per cell]
O  0.0387  0.6280  0.0000 [8 per cell]
O  0.0486  0.8226  0.2507 [16 per cell]
O  0.1484  0.2579  0.2488 [16 per cell]

Top 6 peaks for 10° ≤ 2θ ≤ 90°, low angle first:
28.31°, intensity 473
31.24°, intensity 1000
31.54°, intensity 425
36.47°, intensity 350
46.61°, intensity 192
55.97°, intensity 194

---

For Y2B5Pd14, the PBE geometry in OQMD gives the theoretical powder X-ray diffraction pattern in this record (λ = 1.5418 Å (Cu Kα)).
Kinematic intensities with the Lorentz-polarization factor, no thermal factor.

Unit cell a=8.2943 b=8.2943 c=17.1974 alpha=90.00 beta=90.00 gamma=90.00
Space group I4_1/amd (No. 141, origin choice 2)
Symmetry-distinct sites (fractional):
Y  0.0000  0.2500  0.0909 [8 per cell]
B  0.0000  0.2500  0.3750 [4 per cell]
B  0.2108  0.0000  0.0000 [16 per cell]
Pd  0.0000  0.0000  0.5000 [8 per cell]
Pd  0.0000  0.0361  0.2305 [16 per cell]
Pd  0.0000  0.0813  0.9326 [16 per cell]
Pd  0.1875  0.0625  0.3750 [16 per cell]

Top 6 peaks for 10° ≤ 2θ ≤ 90°, low angle first:
32.81°, intensity 356
35.79°, intensity 374
37.11°, intensity 880
38.20°, intensity 837
40.28°, intensity 322
42.34°, intensity 1000